1.
This entry pairs a crystal structure of LiFe5O8 with its theoretical XRD peak list. Radiation: λ = 1.5418 Å (Cu Kα). Structure: a structure optimized by DFT (PBE+U).

Cell and atoms:
```
LiFe5O8
1.0
8.490 0.000 0.000
0.000 8.490 0.000
0.000 0.000 8.490
Li Fe O
4 20 32
Direct
0.125 0.125 0.125
0.375 0.875 0.625
0.625 0.375 0.875
0.875 0.625 0.375
0.005 0.505 0.995
0.114 0.375 0.364
0.125 0.636 0.614
0.136 0.886 0.875
0.245 0.255 0.745
0.255 0.745 0.245
0.364 0.114 0.375
0.375 0.364 0.114
0.386 0.625 0.864
0.495 0.495 0.495
0.505 0.995 0.005
0.614 0.125 0.636
0.625 0.864 0.386
0.636 0.614 0.125
0.745 0.245 0.255
0.755 0.755 0.755
0.864 0.386 0.625
0.875 0.136 0.886
0.886 0.875 0.136
0.995 0.005 0.505
0.110 0.390 0.610
0.117 0.121 0.874
0.121 0.874 0.117
0.124 0.871 0.633
0.126 0.617 0.379
0.129 0.133 0.376
0.133 0.376 0.129
0.140 0.640 0.860
0.360 0.360 0.360
0.367 0.624 0.629
0.371 0.867 0.876
0.374 0.383 0.879
0.376 0.129 0.133
0.379 0.126 0.617
0.383 0.879 0.374
0.390 0.610 0.110
0.610 0.110 0.390
0.617 0.379 0.126
0.621 0.626 0.883
0.624 0.629 0.367
0.626 0.883 0.621
0.629 0.367 0.624
0.633 0.124 0.871
0.640 0.860 0.140
0.860 0.140 0.640
0.867 0.876 0.371
0.871 0.633 0.124
0.874 0.117 0.121
0.876 0.371 0.867
0.879 0.374 0.383
0.883 0.621 0.626
0.890 0.890 0.890
```

Principal peaks in the range 10 to 90 degrees two-theta, in order of rising 2θ:
| Position (°2θ) | I_rel |
| --- | --- |
| 23.43 | 13 |
| 25.70 | 11 |
| 29.76 | 37 |
| 35.05 | 100 |
| 42.60 | 16 |
| 52.83 | 13 |
| 56.31 | 32 |
| 61.82 | 45 |
| 73.09 | 10 |
| 88.45 | 15 |

2.
This entry pairs a crystal structure of Mn3O2F4 with its theoretical XRD peak list. Radiation: λ = 1.5418 Å (Cu Kα). Structure: a structure optimized by DFT (PBE+U).

Cell and atoms:
```
Mn3O2F4
1.0
5.735 0.000 0.000
1.600 5.576 0.000
2.024 1.468 6.845
Mn O F
6 4 8
Direct
0.000 0.000 0.000
0.013 0.974 0.495
0.315 0.334 0.165
0.330 0.353 0.660
0.624 0.664 0.328
0.673 0.685 0.850
0.103 0.092 0.201
0.297 0.685 0.495
0.536 0.570 0.133
0.910 0.897 0.797
0.234 0.231 0.463
0.357 0.997 0.825
0.433 0.455 0.865
0.636 0.036 0.160
0.708 0.276 0.502
0.741 0.749 0.539
0.964 0.363 0.835
0.989 0.636 0.177
```

Principal peaks in the range 10 to 90 degrees two-theta, in order of rising 2θ:
| Position (°2θ) | I_rel |
| --- | --- |
| 25.67 | 100 |
| 27.11 | 88 |
| 33.47 | 26 |
| 33.71 | 26 |
| 33.82 | 24 |
| 34.00 | 24 |
| 50.42 | 16 |
| 50.99 | 31 |
| 52.75 | 18 |
| 57.69 | 19 |

3.
This entry pairs a crystal structure of Li5Nb2Fe5O12 with its theoretical XRD peak list. Radiation: λ = 1.5418 Å (Cu Kα). Structure: a structure optimized by DFT (PBE+U).

Cell and atoms:
```
Li5Nb2Fe5O12
1.0
2.570 -4.541 0.000
2.570 4.541 0.000
-1.937 0.000 9.905
Li Nb Fe O
5 2 5 12
Direct
0.000 0.000 0.000
0.100 0.392 0.242
0.240 0.243 0.756
0.608 0.900 0.758
0.757 0.760 0.244
0.188 0.812 0.500
0.674 0.326 0.000
0.333 0.667 0.000
0.423 0.073 0.235
0.481 0.519 0.500
0.836 0.164 0.500
0.927 0.577 0.765
0.036 0.696 0.121
0.138 0.109 0.383
0.219 0.555 0.639
0.304 0.964 0.879
0.391 0.367 0.121
0.445 0.781 0.361
0.542 0.198 0.622
0.633 0.609 0.879
0.728 0.051 0.123
0.802 0.458 0.378
0.891 0.862 0.617
0.949 0.272 0.877
```

Principal peaks in the range 10 to 90 degrees two-theta, in order of rising 2θ:
| Position (°2θ) | I_rel |
| --- | --- |
| 17.91 | 58 |
| 19.55 | 39 |
| 23.42 | 51 |
| 30.99 | 22 |
| 34.85 | 18 |
| 36.65 | 30 |
| 42.10 | 100 |
| 43.26 | 48 |
| 61.64 | 27 |
| 62.27 | 28 |

4.
This entry pairs a crystal structure of SrMnO3 with its theoretical XRD peak list. Radiation: λ = 1.5418 Å (Cu Kα). Structure: a structure optimized by DFT (PBE+U).

Cell and atoms:
```
SrMnO3
1.0
5.530 0.000 0.000
-2.765 4.789 0.000
0.000 0.000 13.672
Sr Mn O
6 6 18
Direct
0.000 0.000 0.250
0.000 0.000 0.750
0.333 0.667 0.088
0.333 0.667 0.412
0.667 0.333 0.588
0.667 0.333 0.912
0.000 0.000 0.000
0.000 0.000 0.500
0.333 0.667 0.656
0.333 0.667 0.844
0.667 0.333 0.156
0.667 0.333 0.344
0.029 0.514 0.750
0.164 0.329 0.582
0.164 0.329 0.918
0.164 0.836 0.582
0.164 0.836 0.918
0.329 0.164 0.082
0.329 0.164 0.418
0.486 0.514 0.750
0.486 0.971 0.750
0.514 0.029 0.250
0.514 0.486 0.250
0.671 0.836 0.582
0.671 0.836 0.918
0.836 0.164 0.082
0.836 0.164 0.418
0.836 0.671 0.082
0.836 0.671 0.418
0.971 0.486 0.250
```

Principal peaks in the range 10 to 90 degrees two-theta, in order of rising 2θ:
| Position (°2θ) | I_rel |
| --- | --- |
| 27.01 | 26 |
| 32.17 | 62 |
| 32.38 | 100 |
| 37.89 | 15 |
| 42.65 | 29 |
| 46.29 | 45 |
| 50.67 | 13 |
| 57.62 | 24 |
| 57.75 | 19 |
| 67.78 | 22 |

5.
This entry pairs a crystal structure of Li6Fe3Co5O16 with its theoretical XRD peak list. Radiation: λ = 1.5418 Å (Cu Kα). Structure: a structure optimized by DFT (PBE+U).

Cell and atoms:
```
Li6Fe3Co5O16
1.0
5.242 0.000 0.000
0.000 2.909 0.000
-1.442 0.000 18.944
Li Fe Co O
6 3 5 16
Direct
0.000 0.000 0.000
0.139 0.500 0.863
0.283 0.000 0.729
0.501 0.000 0.499
0.641 0.500 0.361
0.786 0.000 0.226
0.011 0.500 0.487
0.148 0.000 0.358
0.883 0.000 0.616
0.276 0.500 0.234
0.390 0.000 0.112
0.514 0.500 0.986
0.639 0.000 0.864
0.774 0.500 0.742
0.043 0.500 0.681
0.140 0.000 0.177
0.165 0.000 0.546
0.239 0.500 0.057
0.312 0.500 0.421
0.340 0.000 0.927
0.435 0.000 0.292
0.487 0.500 0.803
0.536 0.500 0.169
0.626 0.000 0.689
0.649 0.000 0.049
0.725 0.500 0.553
0.810 0.500 0.928
0.848 0.000 0.422
0.930 0.000 0.800
0.986 0.500 0.294
```

Principal peaks in the range 10 to 90 degrees two-theta, in order of rising 2θ:
| Position (°2θ) | I_rel |
| --- | --- |
| 17.94 | 100 |
| 36.23 | 35 |
| 37.66 | 7 |
| 43.23 | 20 |
| 43.61 | 40 |
| 47.19 | 8 |
| 57.02 | 9 |
| 61.96 | 11 |
| 64.20 | 10 |
| 67.04 | 9 |

6.
This entry pairs a crystal structure of LiVF4 with its theoretical XRD peak list. Radiation: λ = 1.5418 Å (Cu Kα). Structure: a structure optimized by DFT (PBE+U).

Cell and atoms:
```
LiVF4
1.0
5.971 -2.625 0.000
5.971 2.625 0.000
-0.229 0.000 5.493
Li V F
2 2 8
Direct
0.006 0.994 0.750
0.994 0.006 0.250
0.000 0.500 0.000
0.500 0.000 0.500
0.044 0.767 0.993
0.229 0.344 0.300
0.233 0.956 0.507
0.344 0.229 0.800
0.656 0.771 0.200
0.767 0.044 0.493
0.771 0.656 0.700
0.956 0.233 0.007
```

Principal peaks in the range 10 to 90 degrees two-theta, in order of rising 2θ:
| Position (°2θ) | I_rel |
| --- | --- |
| 14.85 | 100 |
| 18.46 | 9 |
| 24.41 | 58 |
| 24.82 | 50 |
| 29.96 | 10 |
| 32.61 | 9 |
| 38.01 | 10 |
| 40.74 | 12 |
| 44.25 | 11 |
| 47.94 | 14 |